No. 1
Theoretical X-ray powder pattern of Tb2Mg2Sc for Cu Kα X-rays, from a structure optimized by DFT (PBE).
Intensities are scaled so that the largest is 100.

Principal peaks in the range 15° ≤ 2θ ≤ 90°, sorted by position:
| two_theta | d/Å | I_rel |
| --- | --- | --- |
| 25.6 | 3.477 | 29 |
| 29.9 | 2.991 | 21 |
| 32.4 | 2.760 | 20 |
| 33.7 | 2.656 | 28 |
| 33.9 | 2.642 | 100 |
| 60.5 | 1.531 | 18 |

Structural model:
```
Tb2Mg2Sc
1.0
1.8254 -13.7999 0.0000
1.8254 13.7999 0.0000
0.0000 0.0000 5.3124
Tb Mg Sc
4 4 2
direct
0.0419 0.9581 0.7500 Tb
0.2372 0.7628 0.7500 Tb
0.7628 0.2372 0.2500 Tb
0.9581 0.0419 0.2500 Tb
0.3604 0.6396 0.2500 Mg
0.4392 0.5608 0.7500 Mg
0.5608 0.4392 0.2500 Mg
0.6396 0.3604 0.7500 Mg
0.1545 0.8455 0.2500 Sc
0.8455 0.1545 0.7500 Sc
```

=====

No. 2
Theoretical X-ray powder pattern of MnNi2Pt5 for Cu Kα X-rays, from a structure optimized by DFT (PBE).
Intensities are scaled so that the largest is 100.

Principal peaks in the range 15° ≤ 2θ ≤ 90°, sorted by position:
| two_theta | d/Å | I_rel |
| --- | --- | --- |
| 31.5 | 2.843 | 20 |
| 38.7 | 2.329 | 22 |
| 39.6 | 2.276 | 100 |
| 43.4 | 2.084 | 60 |
| 69.1 | 1.359 | 16 |
| 83.4 | 1.158 | 18 |

Structural model:
```
MnNi2Pt5
1.0
-3.2960 3.2960 5.3737
3.2960 -3.2960 5.3737
3.2960 3.2960 -5.3737
Mn Ni Pt
2 4 10
direct
0.2500 0.2500 0.0000 Mn
0.7500 0.7500 0.0000 Mn
0.1402 0.6402 0.7803 Ni
0.3598 0.1402 0.5000 Ni
0.6402 0.8598 0.5000 Ni
0.8598 0.3598 0.2197 Ni
0.0000 0.0000 0.0000 Pt
0.0055 0.8092 0.5000 Pt
0.1908 0.6908 0.1963 Pt
0.3092 0.5055 0.5000 Pt
0.4945 0.9945 0.8037 Pt
0.5000 0.5000 0.0000 Pt
0.5055 0.0055 0.1963 Pt
0.6908 0.4945 0.5000 Pt
0.8092 0.3092 0.8037 Pt
0.9945 0.1908 0.5000 Pt
```

=====

No. 3
Theoretical X-ray powder pattern of MnCrIn2Cl6 for Cu Kα X-rays, from a structure optimized by DFT (PBE).
Intensities are scaled so that the largest is 100.

Principal peaks in the range 15° ≤ 2θ ≤ 90°, sorted by position:
| two_theta | d/Å | I_rel |
| --- | --- | --- |
| 25.1 | 3.546 | 100 |
| 30.9 | 2.895 | 61 |
| 35.7 | 2.513 | 25 |
| 35.9 | 2.505 | 56 |
| 44.2 | 2.047 | 44 |
| 51.5 | 1.773 | 50 |

Structural model:
```
MnCrIn2Cl6
1.0
7.0841 0.0000 0.0000
0.0000 7.0841 0.0000
0.0000 0.0000 5.0267
Mn Cr In Cl
1 1 2 6
direct
0.0000 0.0000 0.0000 Mn
0.5000 0.5000 0.0046 Cr
0.0000 0.5000 0.4574 In
0.5000 0.0000 0.4574 In
0.0000 0.0000 0.5051 Cl
0.2505 0.2505 0.0118 Cl
0.2505 0.7495 0.0118 Cl
0.5000 0.5000 0.5065 Cl
0.7495 0.2505 0.0118 Cl
0.7495 0.7495 0.0118 Cl
```

=====

No. 4
Theoretical X-ray powder pattern of CsVI5 for Cu Kα X-rays, from a structure optimized by DFT (PBE).
Intensities are scaled so that the largest is 100.

Principal peaks in the range 15° ≤ 2θ ≤ 90°, sorted by position:
| two_theta | d/Å | I_rel |
| --- | --- | --- |
| 16.2 | 5.476 | 26 |
| 21.9 | 4.065 | 40 |
| 24.6 | 3.617 | 100 |
| 26.4 | 3.381 | 70 |
| 32.7 | 2.738 | 32 |
| 33.9 | 2.643 | 41 |

Structural model:
```
CsVI5
1.0
6.9576 -4.2800 0.0000
6.9576 4.2800 0.0000
-5.3041 0.0000 6.7671
Cs V I
1 1 5
direct
0.0000 0.0000 0.0000 Cs
0.4989 0.4989 0.7833 V
0.2473 0.7500 0.6168 I
0.2521 0.2521 0.5540 I
0.4993 0.4993 0.0902 I
0.7457 0.7457 0.0457 I
0.7500 0.2473 0.6168 I
```

=====

No. 5
Theoretical X-ray powder pattern of AlH12N3F6 for Cu Kα X-rays, from a structure optimized by DFT (PBE).
Intensities are scaled so that the largest is 100.

Principal peaks in the range 15° ≤ 2θ ≤ 90°, sorted by position:
| two_theta | d/Å | I_rel |
| --- | --- | --- |
| 17.1 | 5.177 | 100 |
| 19.5 | 4.561 | 21 |
| 19.7 | 4.514 | 28 |
| 28.2 | 3.159 | 39 |
| 34.7 | 2.588 | 36 |
| 39.9 | 2.257 | 33 |

Structural model:
```
AlH12N3F6
1.0
9.1218 0.0000 0.0000
0.0000 4.3800 4.5140
0.0000 -4.3800 4.5140
Al H N F
2 24 6 12
direct
0.0000 0.0000 0.0000 Al
0.5000 0.5000 0.5000 Al
0.0068 0.5383 0.3420 H
0.0918 0.5648 0.5702 H
0.1630 0.0303 0.4002 H
0.1675 0.6051 0.9829 H
0.2127 0.0130 0.6629 H
0.2174 0.3422 0.9820 H
0.2826 0.8422 0.4820 H
0.2873 0.5130 0.1629 H
0.3325 0.1051 0.4829 H
0.3370 0.5303 0.9002 H
0.4082 0.0648 0.0702 H
0.4932 0.0383 0.8420 H
0.5068 0.8420 0.0383 H
0.5918 0.0702 0.0648 H
0.6630 0.9002 0.5303 H
0.6675 0.4829 0.1051 H
0.7127 0.1629 0.5130 H
0.7174 0.4820 0.8422 H
0.7826 0.9820 0.3422 H
0.7873 0.6629 0.0130 H
0.8325 0.9829 0.6051 H
0.8370 0.4002 0.0303 H
0.9082 0.5702 0.5648 H
0.9932 0.3420 0.5383 H
0.0000 0.5022 0.5022 N
0.2475 0.9981 0.5055 N
0.2525 0.4981 0.0055 N
0.5000 0.0022 0.0022 N
0.7475 0.0055 0.4981 N
0.7525 0.5055 0.9981 N
0.0000 0.2014 0.2014 F
0.0000 0.7973 0.7973 F
0.0573 0.7951 0.1924 F
0.1950 0.0661 0.9381 F
0.3050 0.5661 0.4381 F
0.4427 0.2951 0.6924 F
0.5000 0.2973 0.2973 F
0.5000 0.7014 0.7014 F
0.5573 0.6924 0.2951 F
0.6950 0.4381 0.5661 F
0.8050 0.9381 0.0661 F
0.9427 0.1924 0.7951 F
```

=====

No. 6
Theoretical X-ray powder pattern of HfS for Cu Kα X-rays, from a structure optimized by DFT (PBE).
Intensities are scaled so that the largest is 100.

Principal peaks in the range 15° ≤ 2θ ≤ 90°, sorted by position:
| two_theta | d/Å | I_rel |
| --- | --- | --- |
| 25.9 | 3.442 | 28 |
| 30.4 | 2.943 | 74 |
| 40.3 | 2.237 | 100 |
| 54.0 | 1.699 | 24 |
| 62.5 | 1.486 | 20 |
| 69.5 | 1.353 | 20 |

Structural model:
```
HfS
1.0
3.3981 0.0000 0.0000
-1.6990 2.9428 0.0000
0.0000 0.0000 3.4425
Hf S
1 1
direct
0.0000 0.0000 0.0000 Hf
0.6667 0.3333 0.5000 S
```